[1]
For Mg5Si16Pt10, a crystal structure in Alexandria, relaxed with PBE gives the computed powder diffractogram in this record (Cu Kα X-rays).

abc: 8.966 8.966 8.966
angles: 60.00 60.00 60.00
Atoms (fractional coordinates):
Mg 0.000 0.000 0.000
Mg 0.344 0.344 0.344
Mg 0.344 0.344 0.968
Mg 0.344 0.968 0.344
Mg 0.968 0.344 0.344
Si 0.282 0.573 0.573
Si 0.412 0.677 0.955
Si 0.412 0.955 0.677
Si 0.412 0.955 0.955
Si 0.573 0.282 0.573
Si 0.573 0.573 0.282
Si 0.573 0.573 0.573
Si 0.677 0.412 0.955
Si 0.677 0.955 0.412
Si 0.677 0.955 0.955
Si 0.955 0.412 0.677
Si 0.955 0.412 0.955
Si 0.955 0.677 0.412
Si 0.955 0.677 0.955
Si 0.955 0.955 0.412
Si 0.955 0.955 0.677
Pt 0.127 0.127 0.127
Pt 0.127 0.127 0.620
Pt 0.127 0.620 0.127
Pt 0.268 0.268 0.732
Pt 0.268 0.732 0.268
Pt 0.268 0.732 0.732
Pt 0.620 0.127 0.127
Pt 0.732 0.268 0.268
Pt 0.732 0.268 0.732
Pt 0.732 0.732 0.268

Peak list (12 most intense, 2θ = 5–70°, low angle first)
2theta	I_rel
12.09	23
13.97	25
19.80	21
23.27	25
24.32	85
30.74	36
31.56	14
36.83	28
40.23	100
47.57	68
51.47	17
64.02	16

[2]
For MgSiPt3, a crystal structure in Alexandria, relaxed with PBE gives the computed powder diffractogram in this record (Cu Kα X-rays).

abc: 3.928 3.928 5.711
angles: 90.00 90.00 90.00
Atoms (fractional coordinates):
Mg 0.000 0.000 0.000
Si 0.500 0.500 0.627
Pt 0.000 0.500 0.384
Pt 0.500 0.000 0.384
Pt 0.500 0.500 0.021

Peak list (12 most intense, 2θ = 5–70°, low angle first)
2theta	I_rel
15.52	48
22.63	21
27.56	14
31.33	19
35.95	100
45.56	42
46.22	33
47.78	13
49.04	11
56.90	14
67.43	11
68.66	17

[3]
For MgSi2Pt2, a crystal structure in Alexandria, relaxed with PBE gives the computed powder diffractogram in this record (Cu Kα X-rays).

abc: 8.341 3.522 11.531
angles: 90.00 90.00 90.00
Atoms (fractional coordinates):
Mg 0.184 0.250 0.203
Mg 0.316 0.750 0.703
Mg 0.684 0.250 0.297
Mg 0.816 0.750 0.797
Si 0.084 0.250 0.443
Si 0.091 0.250 0.863
Si 0.409 0.750 0.363
Si 0.416 0.750 0.943
Si 0.584 0.250 0.057
Si 0.591 0.250 0.637
Si 0.909 0.750 0.137
Si 0.916 0.750 0.557
Pt 0.059 0.250 0.660
Pt 0.143 0.750 0.995
Pt 0.357 0.250 0.495
Pt 0.441 0.750 0.160
Pt 0.559 0.250 0.840
Pt 0.643 0.750 0.505
Pt 0.857 0.250 0.005
Pt 0.941 0.750 0.340

Peak list (12 most intense, 2θ = 5–70°, low angle first)
2theta	I_rel
15.37	29
25.52	100
26.44	38
28.58	79
31.64	34
33.14	42
34.22	30
36.86	70
42.14	29
46.15	51
51.92	25
66.63	31

[4]
For Sm2MgSiPt6, a crystal structure in Alexandria, relaxed with PBE gives the computed powder diffractogram in this record (Cu Kα X-rays).

abc: 8.064 8.064 8.064
angles: 41.14 41.14 41.14
Atoms (fractional coordinates):
Sm 0.209 0.209 0.209
Sm 0.791 0.791 0.791
Mg 0.500 0.500 0.500
Si 0.000 0.000 0.000
Pt 0.246 0.246 0.731
Pt 0.246 0.731 0.246
Pt 0.269 0.754 0.754
Pt 0.731 0.246 0.246
Pt 0.754 0.269 0.754
Pt 0.754 0.754 0.269

Peak list (12 most intense, 2θ = 5–70°, low angle first)
2theta	I_rel
24.15	61
27.14	26
33.74	12
33.90	11
37.34	9
37.55	100
40.20	95
44.96	14
49.08	9
49.69	22
57.63	9
65.94	24

[5]
For Tb2MgSi3Pt12, a crystal structure in Alexandria, relaxed with PBE gives the computed powder diffractogram in this record (Cu Kα X-rays).

abc: 7.498 7.498 7.498
angles: 67.42 67.42 67.42
Atoms (fractional coordinates):
Tb 0.106 0.106 0.106
Tb 0.894 0.894 0.894
Mg 0.500 0.500 0.500
Si 0.000 0.500 0.500
Si 0.500 0.000 0.500
Si 0.500 0.500 0.000
Pt 0.121 0.640 0.640
Pt 0.145 0.145 0.604
Pt 0.145 0.604 0.145
Pt 0.360 0.360 0.879
Pt 0.360 0.879 0.360
Pt 0.396 0.855 0.855
Pt 0.604 0.145 0.145
Pt 0.640 0.121 0.640
Pt 0.640 0.640 0.121
Pt 0.855 0.396 0.855
Pt 0.855 0.855 0.396
Pt 0.879 0.360 0.360

Peak list (12 most intense, 2θ = 5–70°, low angle first)
2theta	I_rel
21.35	9
24.03	7
28.66	5
32.36	100
34.53	8
38.02	4
39.10	6
43.50	53
49.21	32
49.42	5
55.24	20
67.75	11

[6]
For ThMg2SiPt2, a crystal structure in Alexandria, relaxed with PBE gives the computed powder diffractogram in this record (Cu Kα X-rays).

abc: 6.345 6.345 6.345
angles: 132.67 132.67 69.17
Atoms (fractional coordinates):
Th 0.000 0.000 0.000
Mg 0.250 0.750 0.500
Mg 0.750 0.250 0.500
Si 0.500 0.500 0.000
Pt 0.278 0.278 0.000
Pt 0.722 0.722 0.000

Peak list (12 most intense, 2θ = 5–70°, low angle first)
2theta	I_rel
19.39	16
24.72	100
31.11	50
34.33	23
35.24	56
42.77	34
47.71	31
50.02	32
50.70	20
57.19	21
62.66	16
68.43	17

[7]
For Y2MgSi4Pt3, a crystal structure in Alexandria, relaxed with PBE gives the computed powder diffractogram in this record (Cu Kα X-rays).

abc: 4.116 4.116 10.528
angles: 90.00 90.00 90.00
Atoms (fractional coordinates):
Y 0.000 0.500 0.247
Y 0.500 0.000 0.753
Mg 0.000 0.000 0.500
Si 0.000 0.000 0.000
Si 0.000 0.500 0.650
Si 0.500 0.000 0.350
Si 0.500 0.500 0.000
Pt 0.000 0.500 0.878
Pt 0.500 0.000 0.122
Pt 0.500 0.500 0.500

Peak list (12 most intense, 2θ = 5–70°, low angle first)
2theta	I_rel
23.20	42
25.38	26
27.51	81
30.72	29
31.90	71
33.56	100
35.24	71
44.00	72
46.52	42
48.57	35
52.68	29
56.45	45

[8]
For Sm2MgZn3Pt4, a crystal structure in Alexandria, relaxed with PBE gives the computed powder diffractogram in this record (Cu Kα X-rays).

abc: 4.100 4.100 11.408
angles: 90.00 90.00 90.00
Atoms (fractional coordinates):
Sm 0.000 0.500 0.239
Sm 0.500 0.000 0.761
Mg 0.000 0.000 0.500
Zn 0.000 0.500 0.868
Zn 0.500 0.000 0.132
Zn 0.500 0.500 0.500
Pt 0.000 0.000 0.000
Pt 0.000 0.500 0.649
Pt 0.500 0.000 0.351
Pt 0.500 0.500 0.000

Peak list (12 most intense, 2θ = 5–70°, low angle first)
2theta	I_rel
7.75	28
23.39	18
26.78	17
31.85	24
32.10	39
34.71	100
44.18	54
44.56	26
45.50	36
55.65	16
64.26	18
65.28	24

[9]
For Mg4SnPt, a crystal structure in Alexandria, relaxed with PBE gives the computed powder diffractogram in this record (Cu Kα X-rays).

abc: 4.608 4.608 8.112
angles: 106.37 106.37 59.89
Atoms (fractional coordinates):
Mg 0.116 0.116 0.347
Mg 0.366 0.366 0.099
Mg 0.634 0.634 0.901
Mg 0.884 0.884 0.653
Sn 0.500 0.500 0.500
Pt 0.000 0.000 0.000

Peak list (12 most intense, 2θ = 5–70°, low angle first)
2theta	I_rel
11.54	12
23.19	34
23.61	100
27.21	32
38.52	16
38.63	32
39.12	48
45.51	18
45.90	12
46.01	23
46.20	17
56.12	16

[10]
For Mg4Sn6Pt5, a crystal structure in Alexandria, relaxed with PBE gives the computed powder diffractogram in this record (Cu Kα X-rays).

abc: 18.670 18.670 18.670
angles: 13.87 13.87 13.87
Atoms (fractional coordinates):
Mg 0.000 0.000 0.000
Mg 0.197 0.197 0.197
Mg 0.398 0.398 0.398
Mg 0.797 0.797 0.797
Sn 0.099 0.099 0.099
Sn 0.301 0.301 0.301
Sn 0.498 0.498 0.498
Sn 0.599 0.599 0.599
Sn 0.699 0.699 0.699
Sn 0.896 0.896 0.896
Pt 0.049 0.049 0.049
Pt 0.248 0.248 0.248
Pt 0.448 0.448 0.448
Pt 0.649 0.649 0.649
Pt 0.847 0.847 0.847

Peak list (12 most intense, 2θ = 5–70°, low angle first)
2theta	I_rel
9.57	1
24.13	100
28.94	1
35.86	1
39.87	61
39.98	62
47.18	38
47.26	13
57.74	21
63.34	6
63.46	5
63.58	11

[11]
For SrMgSnPt2, a crystal structure in Alexandria, relaxed with PBE gives the computed powder diffractogram in this record (Cu Kα X-rays).

abc: 6.675 6.675 6.675
angles: 141.67 141.67 55.33
Atoms (fractional coordinates):
Sr 0.000 0.000 0.000
Mg 0.250 0.750 0.500
Sn 0.750 0.250 0.500
Pt 0.387 0.387 0.000
Pt 0.613 0.613 0.000

Peak list (12 most intense, 2θ = 5–70°, low angle first)
2theta	I_rel
21.63	100
28.81	53
30.50	83
32.63	63
41.20	75
42.25	66
43.49	67
47.00	27
52.12	38
59.68	25
61.45	49
69.69	14

[12]
For Sr2Mg5Pt3, a crystal structure in Alexandria, relaxed with PBE gives the computed powder diffractogram in this record (Cu Kα X-rays).

abc: 13.805 13.805 7.487
angles: 90.00 90.00 161.38
Atoms (fractional coordinates):
Sr 0.026 0.974 0.500
Sr 0.325 0.675 0.561
Sr 0.675 0.325 0.061
Sr 0.974 0.026 0.000
Mg 0.095 0.905 0.884
Mg 0.208 0.792 0.365
Mg 0.213 0.787 0.756
Mg 0.369 0.631 0.037
Mg 0.444 0.556 0.666
Mg 0.556 0.444 0.166
Mg 0.631 0.369 0.537
Mg 0.787 0.213 0.256
Mg 0.792 0.208 0.865
Mg 0.905 0.095 0.384
Pt 0.112 0.888 0.249
Pt 0.268 0.732 0.061
Pt 0.453 0.547 0.292
Pt 0.547 0.453 0.792
Pt 0.732 0.268 0.561
Pt 0.888 0.112 0.749

Peak list (12 most intense, 2θ = 5–70°, low angle first)
2theta	I_rel
22.90	45
23.42	29
24.66	28
25.21	45
25.79	16
27.18	14
32.76	100
35.05	15
40.40	29
42.68	28
43.46	31
47.91	14

[13]
For Sr2Mg3Pt2, a crystal structure in Alexandria, relaxed with PBE gives the computed powder diffractogram in this record (Cu Kα X-rays).

abc: 6.019 6.019 7.899
angles: 113.49 113.49 42.18
Atoms (fractional coordinates):
Sr 0.141 0.141 0.284
Sr 0.859 0.859 0.716
Mg 0.353 0.353 0.066
Mg 0.500 0.500 0.500
Mg 0.647 0.647 0.934
Pt 0.143 0.143 0.714
Pt 0.857 0.857 0.286

Peak list (12 most intense, 2θ = 5–70°, low angle first)
2theta	I_rel
16.54	59
22.31	98
23.67	48
24.94	86
30.69	35
33.45	38
33.60	95
34.54	100
35.35	49
36.49	73
40.76	38
41.70	46